(1)
This entry pairs a crystal structure of LiMn2P5O16 with its calculated powder diffraction line list. Radiation: Cu Ka. Structure: a cell relaxed with PBE+U.
Kinematic intensities with the Lorentz-polarization factor, no thermal factor.

Largest 6 diffraction maxima, low angle first, 15 to 90 degrees two-theta:
| 2theta | d/Å | I (rel.) | h k l |
| --- | --- | --- | --- |
| 19.4 | 4.576 | 89 | 0 0 4 |
| 22.2 | 3.999 | 41 | 1 1 -1 |
| 22.3 | 3.979 | 100 | 1 1 1 |
| 29.3 | 3.051 | 39 | 0 0 6 |
| 31.9 | 2.804 | 65 | 1 2 -1 |
| 32.7 | 2.741 | 38 | 1 1 -5 |

```
data_LiMn2P5O16
_chemical_formula_sum 'Li2 Mn4 P10 O32'
_symmetry_space_group_name_H-M 'P 1 c 1'
_symmetry_Int_Tables_number 7
_symmetry_space_group_name_Hall 'P -2yc'
_cell_length_a 5.1045
_cell_length_b 6.8242
_cell_length_c 18.3052
_cell_angle_alpha 90.00
_cell_angle_beta 90.85
_cell_angle_gamma 90.00
loop_
_atom_site_label
_atom_site_type_symbol
_atom_site_fract_x
_atom_site_fract_y
_atom_site_fract_z
Li1 Li 0.0000 0.1417 0.0000
Mn1 Mn 0.4781 0.3265 0.8731
Mn2 Mn 0.9974 0.3269 0.5579
P1 P 0.0046 0.0385 0.8398
P2 P 0.4868 0.0303 0.5938
P3 P 0.5155 0.3777 0.0489
P4 P 0.7390 0.2467 0.7157
P5 P 0.9579 0.3793 0.3852
O1 O 0.0773 0.2985 0.4573
O2 O 0.1242 0.4706 0.8478
O3 O 0.2001 0.0628 0.5733
O4 O 0.2967 0.0758 0.8514
O5 O 0.3659 0.4584 0.5839
O6 O 0.3804 0.2900 0.9799
O7 O 0.5187 0.1990 0.1083
O8 O 0.5329 0.1041 0.6763
O9 O 0.5903 0.3666 0.7695
O10 O 0.6687 0.4369 0.3949
O11 O 0.6952 0.1043 0.5438
O12 O 0.8107 0.4160 0.0369
O13 O 0.8280 0.1301 0.8955
O14 O 0.8999 0.3550 0.6601
O15 O 0.9320 0.0988 0.7571
O16 O 0.9550 0.1896 0.3310
```

(2)
This entry pairs a crystal structure of Co3O2F4 with its calculated powder diffraction line list. Radiation: Cu Ka. Structure: a cell relaxed with PBE+U.
Kinematic intensities with the Lorentz-polarization factor, no thermal factor.

Largest 6 diffraction maxima, low angle first, 15 to 90 degrees two-theta:
| 2theta | d/Å | I (rel.) | h k l |
| --- | --- | --- | --- |
| 27.4 | 3.258 | 100 | 1 -1 0 |
| 27.7 | 3.219 | 95 | 1 1 2 |
| 34.7 | 2.585 | 31 | 1 2 0 |
| 34.9 | 2.574 | 33 | 0 1 -2 |
| 35.1 | 2.559 | 56 | 2 1 0 |
| 53.9 | 1.701 | 43 | 1 0 4 |

```
data_Co3O2F4
_chemical_formula_sum 'Co6 O4 F8'
_symmetry_space_group_name_H-M 'P -1'
_symmetry_Int_Tables_number 2
_symmetry_space_group_name_Hall '-P 1'
_cell_length_a 5.5076
_cell_length_b 5.5728
_cell_length_c 7.1366
_cell_angle_alpha 73.77
_cell_angle_beta 73.52
_cell_angle_gamma 72.03
loop_
_atom_site_label
_atom_site_type_symbol
_atom_site_fract_x
_atom_site_fract_y
_atom_site_fract_z
Co1 Co 0.0000 0.0000 0.0000
Co2 Co 0.0000 0.0000 0.5000
Co3 Co 0.3057 0.3219 0.1594
Co4 Co 0.3082 0.3677 0.6778
O1 O 0.0223 0.6667 0.6683
O2 O 0.2099 0.2355 0.9679
F1 F 0.0900 0.1108 0.7027
F2 F 0.3210 0.7038 0.9937
F3 F 0.3773 0.9420 0.3367
F4 F 0.4182 0.4258 0.3659
```

(3)
This entry pairs a crystal structure of Mn3CuP4O16 with its calculated powder diffraction line list. Radiation: Cu Ka. Structure: a cell relaxed with PBE+U.
Kinematic intensities with the Lorentz-polarization factor, no thermal factor.

Largest 6 diffraction maxima, low angle first, 15 to 90 degrees two-theta:
| 2theta | d/Å | I (rel.) | h k l |
| --- | --- | --- | --- |
| 18.1 | 4.914 | 85 | 0 0 2 |
| 20.1 | 4.413 | 83 | 1 0 -1 |
| 20.3 | 4.364 | 57 | 1 0 1 |
| 25.2 | 3.531 | 47 | 1 1 1 |
| 29.7 | 3.005 | 100 | 0 2 0 |
| 36.4 | 2.468 | 48 | 1 1 3 |

```
data_Mn3CuP4O16
_chemical_formula_sum 'Mn3 Cu1 P4 O16'
_symmetry_space_group_name_H-M 'P 1 m 1'
_symmetry_Int_Tables_number 6
_symmetry_space_group_name_Hall 'P -2y'
_cell_length_a 4.9049
_cell_length_b 6.0092
_cell_length_c 9.8297
_cell_angle_alpha 90.00
_cell_angle_beta 90.79
_cell_angle_gamma 90.00
loop_
_atom_site_label
_atom_site_type_symbol
_atom_site_fract_x
_atom_site_fract_y
_atom_site_fract_z
Mn1 Mn 0.0000 0.0000 0.0000
Mn2 Mn 0.1230 0.5000 0.5715
Mn3 Mn 0.6243 0.0000 0.5028
Cu1 Cu 0.4650 0.5000 0.0759
P1 P 0.1459 0.0000 0.6874
P2 P 0.4783 0.0000 0.1853
P3 P 0.6350 0.5000 0.3852
P4 P 0.9789 0.5000 0.8870
O1 O 0.2166 0.0000 0.8401
O2 O 0.2862 0.2001 0.6152
O3 O 0.2940 0.5000 0.9040
O4 O 0.3251 0.5000 0.4061
O5 O 0.3257 0.1978 0.1126
O6 O 0.4129 0.0000 0.3377
O7 O 0.6899 0.5000 0.2313
O8 O 0.7834 0.3008 0.4572
O9 O 0.7863 0.0000 0.1643
O10 O 0.8335 0.0000 0.6692
O11 O 0.8425 0.2968 0.9559
O12 O 0.9127 0.5000 0.7329
```

(4)
This entry pairs a crystal structure of Na2Cr2O7 with its calculated powder diffraction line list. Radiation: Cu Ka. Structure: a cell relaxed with PBE+U.
Kinematic intensities with the Lorentz-polarization factor, no thermal factor.

Largest 6 diffraction maxima, low angle first, 15 to 90 degrees two-theta:
| 2theta | d/Å | I (rel.) | h k l |
| --- | --- | --- | --- |
| 18.8 | 4.718 | 73 | 0 0 2 |
| 19.7 | 4.509 | 69 | 1 2 1 |
| 25.3 | 3.520 | 69 | 1 2 -1 |
| 27.0 | 3.298 | 88 | 2 0 2 |
| 27.2 | 3.275 | 100 | 1 1 -2 |
| 28.5 | 3.132 | 82 | -1 2 1 |

```
data_Na2Cr2O7
_chemical_formula_sum 'Na8 Cr8 O28'
_symmetry_space_group_name_H-M 'P -1'
_symmetry_Int_Tables_number 2
_symmetry_space_group_name_Hall '-P 1'
_cell_length_a 7.7721
_cell_length_b 9.4920
_cell_length_c 10.1502
_cell_angle_alpha 75.74
_cell_angle_beta 70.07
_cell_angle_gamma 70.36
loop_
_atom_site_label
_atom_site_type_symbol
_atom_site_fract_x
_atom_site_fract_y
_atom_site_fract_z
Na1 Na 0.0247 0.1020 0.2408
Na2 Na 0.0261 0.2638 0.8520
Na3 Na 0.4661 0.3936 0.2738
Na4 Na 0.4679 0.7852 0.3262
Cr1 Cr 0.1679 0.5911 0.5808
Cr2 Cr 0.2058 0.1522 0.4885
Cr3 Cr 0.2981 0.3714 0.0286
Cr4 Cr 0.3246 0.9091 0.9419
O1 O 0.0799 0.3242 0.4007
O2 O 0.0836 0.1235 0.6549
O3 O 0.1096 0.3161 0.0537
O4 O 0.1499 0.8622 0.9239
O5 O 0.1976 0.4178 0.6632
O6 O 0.2289 0.0138 0.4077
O7 O 0.2428 0.5250 0.0978
O8 O 0.2452 0.6900 0.6489
O9 O 0.2841 0.9161 0.1092
O10 O 0.2874 0.5923 0.4125
O11 O 0.3351 0.0744 0.8475
O12 O 0.4092 0.3974 0.8600
O13 O 0.4113 0.1748 0.4736
O14 O 0.4563 0.2301 0.1209
```

(5)
This entry pairs a crystal structure of La3SmFe4O12 with its calculated powder diffraction line list. Radiation: Cu Ka. Structure: a cell relaxed with PBE+U.
Kinematic intensities with the Lorentz-polarization factor, no thermal factor.

Largest 6 diffraction maxima, low angle first, 15 to 90 degrees two-theta:
| 2theta | d/Å | I (rel.) | h k l |
| --- | --- | --- | --- |
| 22.4 | 3.964 | 23 | 0 2 0 |
| 31.6 | 2.835 | 22 | 0 0 2 |
| 31.9 | 2.802 | 100 | 1 2 -1 |
| 32.2 | 2.778 | 25 | 2 0 0 |
| 45.8 | 1.980 | 27 | 0 4 0 |
| 57.2 | 1.610 | 23 | 3 2 -1 |

```
data_La3SmFe4O12
_chemical_formula_sum 'La3 Sm1 Fe4 O12'
_symmetry_space_group_name_H-M 'P 1 m 1'
_symmetry_Int_Tables_number 6
_symmetry_space_group_name_Hall 'P -2y'
_cell_length_a 5.5555
_cell_length_b 7.9137
_cell_length_c 5.6691
_cell_angle_alpha 90.00
_cell_angle_beta 90.14
_cell_angle_gamma 90.00
loop_
_atom_site_label
_atom_site_type_symbol
_atom_site_fract_x
_atom_site_fract_y
_atom_site_fract_z
La1 La 0.0000 0.0000 0.0000
La2 La 0.0173 0.5000 0.0881
La3 La 0.5174 0.0000 0.5018
Sm1 Sm 0.4996 0.5000 0.5972
Fe1 Fe 0.0089 0.2524 0.5429
Fe2 Fe 0.5097 0.2515 0.0450
O1 O 0.0896 0.0000 0.5641
O2 O 0.2166 0.2957 0.8366
O3 O 0.3094 0.2993 0.3443
O4 O 0.4271 0.0000 0.0659
O5 O 0.5908 0.5000 0.0123
O6 O 0.7129 0.2089 0.7467
O7 O 0.8072 0.2071 0.2454
O8 O 0.9130 0.5000 0.5215
```